1.
Calculated powder diffraction line list
Compound: LiMg6BiO8
Radiation: a wavelength of 1.5418 Å
Structure: a DFT-relaxed cell (PBE, Alexandria)

Structure:
a b c (Å): 4.445 4.445 8.861
angles (deg): 90.00 90.00 90.00
Positions (direct):
Li 0.000 0.000 0.000
Mg 0.000 0.500 0.224
Mg 0.000 0.500 0.776
Mg 0.500 0.000 0.224
Mg 0.500 0.000 0.776
Mg 0.500 0.500 0.000
Mg 0.500 0.500 0.500
Bi 0.000 0.000 0.500
O 0.000 0.000 0.237
O 0.000 0.000 0.763
O 0.000 0.500 0.000
O 0.000 0.500 0.500
O 0.500 0.000 0.000
O 0.500 0.000 0.500
O 0.500 0.500 0.254
O 0.500 0.500 0.746

Principal peaks in the range 10° ≤ 2θ ≤ 90°, by intensity:
2θ (°)	I_rel
22.4	100
30.2	79
40.6	69
20.0	64
28.4	55
35.0	44

***

2.
Calculated powder diffraction line list
Compound: Li3Mg5Bi3Pb
Radiation: a wavelength of 1.5418 Å
Structure: a DFT-relaxed cell (PBE, Alexandria)

Structure:
a b c (Å): 16.087 16.087 16.087
angles (deg): 17.38 17.38 17.38
Positions (direct):
Li 0.000 0.000 0.000
Li 0.250 0.250 0.250
Li 0.500 0.500 0.500
Mg 0.124 0.124 0.124
Mg 0.375 0.375 0.375
Mg 0.625 0.625 0.625
Mg 0.749 0.749 0.749
Mg 0.876 0.876 0.876
Bi 0.312 0.312 0.312
Bi 0.562 0.562 0.562
Bi 0.814 0.814 0.814
Pb 0.062 0.062 0.062

Principal peaks in the range 10° ≤ 2θ ≤ 90°, by intensity:
2θ (°)	I_rel
22.4	100
37.0	59
43.7	54
25.9	35
58.6	17
71.3	17

***

3.
Calculated powder diffraction line list
Compound: Li2PrMg2Bi2
Radiation: a wavelength of 1.5418 Å
Structure: a DFT-relaxed cell (PBE, Alexandria)

Structure:
a b c (Å): 9.064 9.064 9.064
angles (deg): 30.95 30.95 30.95
Positions (direct):
Li 0.067 0.067 0.067
Li 0.933 0.933 0.933
Pr 0.500 0.500 0.500
Mg 0.361 0.361 0.361
Mg 0.639 0.639 0.639
Bi 0.240 0.240 0.240
Bi 0.760 0.760 0.760

Principal peaks in the range 10° ≤ 2θ ≤ 90°, by intensity:
2θ (°)	I_rel
25.3	100
37.2	59
35.1	51
22.3	40
32.3	34
10.3	31

***

4.
Calculated powder diffraction line list
Compound: LiPa4BiN8
Radiation: a wavelength of 1.5418 Å
Structure: a DFT-relaxed cell (PBE, Alexandria)

Structure:
a b c (Å): 6.596 6.596 6.596
angles (deg): 65.68 65.68 65.68
Positions (direct):
Li 0.000 0.000 0.000
Pa 0.498 0.998 0.998
Pa 0.602 0.602 0.602
Pa 0.998 0.498 0.998
Pa 0.998 0.998 0.498
Bi 0.382 0.382 0.382
N 0.226 0.750 0.750
N 0.234 0.234 0.234
N 0.254 0.254 0.797
N 0.254 0.797 0.254
N 0.750 0.226 0.750
N 0.750 0.750 0.226
N 0.751 0.751 0.751
N 0.797 0.254 0.254

Principal peaks in the range 10° ≤ 2θ ≤ 90°, by intensity:
2θ (°)	I_rel
29.4	100
27.2	47
31.1	37
30.4	36
51.1	33
32.4	31

***

5.
Calculated powder diffraction line list
Compound: NaLi2Bi2
Radiation: a wavelength of 1.5418 Å
Structure: a DFT-relaxed cell (PBE, Alexandria)

Structure:
a b c (Å): 4.936 7.753 7.081
angles (deg): 90.00 90.00 90.00
Positions (direct):
Na 0.000 0.000 0.000
Na 0.500 0.500 0.000
Li 0.000 0.168 0.500
Li 0.000 0.832 0.500
Li 0.500 0.332 0.500
Li 0.500 0.668 0.500
Bi 0.000 0.500 0.285
Bi 0.000 0.500 0.715
Bi 0.500 0.000 0.285
Bi 0.500 0.000 0.715

Principal peaks in the range 10° ≤ 2θ ≤ 90°, by intensity:
2θ (°)	I_rel
21.3	100
33.2	75
22.9	54
34.3	27
47.3	26
25.2	26

***

6.
Calculated powder diffraction line list
Compound: Na2LiBi2
Radiation: a wavelength of 1.5418 Å
Structure: a DFT-relaxed cell (PBE, Alexandria)

Structure:
a b c (Å): 7.679 7.679 4.997
angles (deg): 90.00 90.00 90.00
Positions (direct):
Na 0.162 0.338 0.000
Na 0.338 0.838 0.000
Na 0.662 0.162 0.000
Na 0.838 0.662 0.000
Li 0.000 0.000 0.500
Li 0.500 0.500 0.500
Bi 0.142 0.642 0.500
Bi 0.358 0.142 0.500
Bi 0.642 0.858 0.500
Bi 0.858 0.358 0.500

Principal peaks in the range 10° ≤ 2θ ≤ 90°, by intensity:
2θ (°)	I_rel
31.6	100
17.8	54
25.9	50
16.3	29
44.9	24
37.0	18

***

Repeat the third record exactly.
Calculated powder diffraction line list
Compound: Li2PrMg2Bi2
Radiation: a wavelength of 1.5418 Å
Structure: a DFT-relaxed cell (PBE, Alexandria)

Structure:
a b c (Å): 9.064 9.064 9.064
angles (deg): 30.95 30.95 30.95
Positions (direct):
Li 0.067 0.067 0.067
Li 0.933 0.933 0.933
Pr 0.500 0.500 0.500
Mg 0.361 0.361 0.361
Mg 0.639 0.639 0.639
Bi 0.240 0.240 0.240
Bi 0.760 0.760 0.760

Principal peaks in the range 10° ≤ 2θ ≤ 90°, by intensity:
2θ (°)	I_rel
25.3	100
37.2	59
35.1	51
22.3	40
32.3	34
10.3	31